Entry 1:
For Tm3Sc4Al4, the PBE geometry in Alexandria gives the calculated powder diffractogram in this record (Cu Kα).

Largest 10 diffraction maxima, in order of rising 2θ, 2θ from 10° to 80°:
| 2theta | Rel. int. |
| --- | --- |
| 11.14 | 17 |
| 18.85 | 62 |
| 21.59 | 24 |
| 31.29 | 53 |
| 32.01 | 81 |
| 33.38 | 100 |
| 36.45 | 38 |
| 41.08 | 28 |
| 48.79 | 31 |
| 51.29 | 16 |

Atomic structure:
abc: 8.938 8.938 8.938
angles: 147.98 137.11 54.51
Fractional coordinates of all 11 atoms:
Tm 0.000 0.000 0.000
Tm 0.391 0.891 0.500
Tm 0.609 0.109 0.500
Sc 0.048 0.320 0.728
Sc 0.408 0.680 0.728
Sc 0.592 0.320 0.272
Sc 0.952 0.680 0.272
Al 0.182 0.182 0.000
Al 0.292 0.500 0.792
Al 0.708 0.500 0.208
Al 0.818 0.818 0.000

---

Entry 2:
For Tm2ScAl9, the PBE geometry in Alexandria gives the calculated powder diffractogram in this record (Cu Kα).

Largest 10 diffraction maxima, in order of rising 2θ, 2θ from 10° to 80°:
| 2theta | Rel. int. |
| --- | --- |
| 21.24 | 71 |
| 22.40 | 13 |
| 30.22 | 60 |
| 37.23 | 100 |
| 43.26 | 49 |
| 48.68 | 32 |
| 53.67 | 24 |
| 62.84 | 32 |
| 67.13 | 15 |
| 75.36 | 37 |

Atomic structure:
abc: 4.185 4.185 12.538
angles: 90.00 90.00 90.00
Fractional coordinates of all 12 atoms:
Tm 0.000 0.000 0.169
Tm 0.000 0.000 0.831
Sc 0.000 0.000 0.500
Al 0.000 0.500 0.000
Al 0.000 0.500 0.339
Al 0.000 0.500 0.661
Al 0.500 0.000 0.000
Al 0.500 0.000 0.339
Al 0.500 0.000 0.661
Al 0.500 0.500 0.168
Al 0.500 0.500 0.500
Al 0.500 0.500 0.832

---

Entry 3:
For TmSc3Al4, the PBE geometry in Alexandria gives the calculated powder diffractogram in this record (Cu Kα).

Largest 10 diffraction maxima, in order of rising 2θ, 2θ from 10° to 80°:
| 2theta | Rel. int. |
| --- | --- |
| 13.78 | 26 |
| 17.38 | 19 |
| 22.24 | 20 |
| 22.80 | 19 |
| 25.18 | 38 |
| 28.81 | 26 |
| 35.17 | 18 |
| 36.64 | 33 |
| 37.83 | 100 |
| 39.82 | 19 |

Atomic structure:
abc: 9.812 6.426 5.103
angles: 90.00 90.00 90.00
Fractional coordinates of all 16 atoms:
Tm 0.000 0.000 0.000
Tm 0.500 0.000 0.000
Sc 0.000 0.500 0.000
Sc 0.250 0.000 0.403
Sc 0.250 0.500 0.385
Sc 0.500 0.500 0.000
Sc 0.750 0.000 0.597
Sc 0.750 0.500 0.615
Al 0.000 0.262 0.500
Al 0.000 0.738 0.500
Al 0.250 0.261 0.875
Al 0.250 0.739 0.875
Al 0.500 0.262 0.500
Al 0.500 0.738 0.500
Al 0.750 0.261 0.125
Al 0.750 0.739 0.125